No. 1
This entry pairs a crystal structure of Dy2ErAg with its computed powder diffractogram. Radiation: Cu Ka. Structure: DFT lattice parameters and positions (GGA-PBE).
Lines closer than 0.1° are merged.

Atomic structure:
```
data_Dy2ErAg
_chemical_formula_sum 'Dy2 Er1 Ag1'
_symmetry_space_group_name_H-M 'P 4/m m m'
_symmetry_Int_Tables_number 123
_symmetry_space_group_name_Hall '-P 4 2'
_cell_length_a 3.5489
_cell_length_b 3.5489
_cell_length_c 8.8351
_cell_angle_alpha 90.00
_cell_angle_beta 90.00
_cell_angle_gamma 90.00
loop_
_atom_site_label
_atom_site_type_symbol
_atom_site_fract_x
_atom_site_fract_y
_atom_site_fract_z
Dy1 Dy 0.0000 0.0000 0.2173
Er1 Er 0.5000 0.5000 0.5000
Ag1 Ag 0.5000 0.5000 0.0000
```

Largest 6 diffraction maxima, low angle first, 2θ = 5–70°:
h k l  Position (°2θ)  I/Imax
1 0 2  32.36  100
1 1 0  35.78  42
0 0 4  40.86  10
2 0 0  51.50  15
1 1 4  55.42  16
2 1 2  62.15  30

No. 2
This entry pairs a crystal structure of Li2Si3P3 with its computed powder diffractogram. Radiation: Cu Ka. Structure: DFT lattice parameters and positions (GGA-PBE).
Lines closer than 0.1° are merged.

Atomic structure:
```
data_Li2Si3P3
_chemical_formula_sum 'Li4 Si6 P6'
_symmetry_space_group_name_H-M 'P 42/n n m'
_symmetry_Int_Tables_number 134
_cell_length_a 5.0371
_cell_length_b 5.0371
_cell_length_c 9.0659
_cell_angle_alpha 90.00
_cell_angle_beta 90.00
_cell_angle_gamma 90.00
loop_
_symmetry_equiv_pos_as_xyz
'x,y,z'
'-x,-y,-z'
'-y+1/2,x,z+1/2'
'y+1/2,-x,-z+1/2'
'-x+1/2,-y+1/2,z'
'x+1/2,y+1/2,-z'
'y,-x+1/2,z+1/2'
'-y,x+1/2,-z+1/2'
'x,-y+1/2,-z+1/2'
'-x,y+1/2,z+1/2'
'-y+1/2,-x+1/2,-z'
'y+1/2,x+1/2,z'
'-x+1/2,y,-z+1/2'
'x+1/2,-y,z+1/2'
'y,x,-z'
'-y,-x,z'
loop_
_atom_site_label
_atom_site_type_symbol
_atom_site_fract_x
_atom_site_fract_y
_atom_site_fract_z
Li1 Li 0.0000 0.0000 0.0000
Si1 Si 0.2500 0.2500 0.2500
Si2 Si 0.2500 0.7500 0.2500
P1 P 0.0000 0.0000 0.5000
P2 P 0.2500 0.7500 0.7500
```

Largest 6 diffraction maxima, low angle first, 2θ = 5–70°:
h k l  Position (°2θ)  I/Imax
0 0 2  19.58  11
1 1 1  26.89  26
0 0 4  39.77  27
2 0 2  41.00  100
2 2 0  51.30  25
2 2 4  66.81  23